Starting from a cell relaxed with GGA-PBE, the powder diffraction line list of CrCd2Ni was computed for copper Kα.
Peak positions follow from Bragg's law for the DFT cell and can differ from measured ones.

Structure:
a b c (Å): 3.0289 3.0289 7.3506
angles (deg): 90.00 90.00 90.00
Space group P4mm (No. 99)
Asymmetric unit:
1 Cr 0.0000 0.0000 0.0000 (multiplicity 1)
2 Cd 0.0000 0.0000 0.4082 (multiplicity 1)
3 Cd 0.5000 0.5000 0.7297 (multiplicity 1)
4 Ni 0.5000 0.5000 0.1660 (multiplicity 1)

Peak list (10 most intense, 15 to 90 degrees two-theta, low angle first)
2theta	d_spacing	I/Imax
32.0	2.800	32
36.7	2.450	15
38.5	2.337	100
42.2	2.142	49
57.1	1.613	16
61.2	1.514	15
67.1	1.395	8
71.3	1.323	11
73.5	1.288	7
74.7	1.271	26